Calculated PXRD pattern
Compound: NaTlO
Radiation: a wavelength of 1.5418 Å
Structure: DFT lattice parameters and positions (GGA-PBE)
Peak positions follow from Bragg's law for the DFT cell and can differ from measured ones.

Top 10 peaks for 2θ from 15° to 90°, low angle first:
(hkl)	two_theta	I_rel
0 0 2	15.33	89
1 0 1	30.04	100
0 0 4	30.94	22
1 0 2	32.96	22
1 0 3	37.38	66
1 0 4	42.92	21
1 0 5	49.28	22
1 1 0	51.40	22
1 1 2	53.97	22
1 1 4	61.21	20

Cell and atoms:
```
data_NaTlO
_cell_length_a 3.5552
_cell_length_b 3.5552
_cell_length_c 11.5627
_cell_angle_alpha 90.00
_cell_angle_beta 90.00
_cell_angle_gamma 120.00
_space_group_name_H-M_alt 'P 63 m c'
_space_group_IT_number 186
_space_group_name_Hall 'P 6c -2c'
loop_
_atom_site_label
_atom_site_type_symbol
_atom_site_fract_x
_atom_site_fract_y
_atom_site_fract_z
Na1 Na 0.3333 0.6667 0.0000
Tl1 Tl 0.3333 0.6667 0.7208
O1 O 0.0000 0.0000 0.0961
```